(1)
Theoretical X-ray diffraction stick pattern
Compound: V3B2
Radiation: Cu Kα (λ = 1.5418 Å)
Structure: a cell relaxed with GGA-PBE

Atomic structure:
a = 5.724 Å, b = 5.724 Å, c = 3.014 Å
α = 90.00°, β = 90.00°, γ = 90.00°
Atoms (fractional coordinates):
1 V 0.000 0.000 0.000
2 V 0.178 0.322 0.500
3 V 0.322 0.822 0.500
4 V 0.500 0.500 0.000
5 V 0.678 0.178 0.500
6 V 0.822 0.678 0.500
7 B 0.111 0.611 0.000
8 B 0.389 0.111 0.000
9 B 0.611 0.889 0.000
10 B 0.889 0.389 0.000

The 10 most intense peaks (10 to 90 degrees two-theta), by angle:
h k l, two_theta, intensity
2 1 0, 35.05, 537
1 1 1, 37.19, 440
2 0 1, 43.61, 1000
2 2 0, 44.78, 277
2 1 1, 46.55, 783
3 1 0, 50.42, 455
0 0 2, 61.53, 165
4 1 1, 75.38, 181
3 3 1, 77.52, 235
3 1 2, 83.46, 183

=====

(2)
Theoretical X-ray diffraction stick pattern
Compound: V3BW
Radiation: Cu Kα (λ = 1.5418 Å)
Structure: a cell relaxed with GGA-PBE

Atomic structure:
a = 4.724 Å, b = 6.720 Å, c = 8.107 Å
α = 90.00°, β = 90.00°, γ = 90.00°
Atoms (fractional coordinates):
1 V 0.188 0.064 0.178
2 V 0.188 0.436 0.178
3 V 0.225 0.750 0.966
4 V 0.275 0.250 0.466
5 V 0.312 0.564 0.678
6 V 0.312 0.936 0.678
7 V 0.688 0.064 0.322
8 V 0.688 0.436 0.322
9 V 0.725 0.750 0.534
10 V 0.775 0.250 0.034
11 V 0.812 0.564 0.822
12 V 0.812 0.936 0.822
13 B 0.000 0.000 0.500
14 B 0.000 0.500 0.500
15 B 0.500 0.000 0.000
16 B 0.500 0.500 0.000
17 W 0.203 0.750 0.359
18 W 0.297 0.250 0.859
19 W 0.703 0.750 0.141
20 W 0.797 0.250 0.641

The 10 most intense peaks (10 to 90 degrees two-theta), by angle:
h k l, two_theta, intensity
0 1 1, 17.14, 510
1 1 1, 25.53, 271
0 2 0, 26.53, 247
1 0 2, 29.02, 231
2 0 0, 38.09, 287
1 2 2, 39.73, 1000
1 1 3, 40.74, 724
0 3 1, 41.84, 293
2 3 1, 57.86, 135
1 4 2, 63.05, 141

=====

(3)
Theoretical X-ray diffraction stick pattern
Compound: V2B6W
Radiation: Cu Kα (λ = 1.5418 Å)
Structure: a cell relaxed with GGA-PBE

Atomic structure:
a = 5.250 Å, b = 5.250 Å, c = 3.102 Å
α = 90.00°, β = 90.00°, γ = 120.00°
Atoms (fractional coordinates):
1 V 0.333 0.667 0.000
2 V 0.667 0.333 0.000
3 B 0.000 0.337 0.500
4 B 0.000 0.663 0.500
5 B 0.337 0.000 0.500
6 B 0.337 0.337 0.500
7 B 0.663 0.000 0.500
8 B 0.663 0.663 0.500
9 W 0.000 0.000 0.000

The 10 most intense peaks (10 to 90 degrees two-theta), by angle:
h k l, two_theta, intensity
1 0 0, 19.52, 783
0 0 1, 28.78, 334
1 1 0, 34.16, 802
1 0 1, 35.02, 390
1 1 1, 45.25, 1000
3 0 0, 61.15, 223
2 1 1, 61.71, 163
3 0 1, 68.96, 175
1 1 2, 70.53, 191
2 2 1, 79.25, 183

=====

(4)
Theoretical X-ray diffraction stick pattern
Compound: B3W2
Radiation: Cu Kα (λ = 1.5418 Å)
Structure: a cell relaxed with GGA-PBE

Atomic structure:
a = 3.047 Å, b = 3.106 Å, c = 10.423 Å
α = 90.00°, β = 90.00°, γ = 90.00°
Atoms (fractional coordinates):
1 B 0.000 0.000 0.000
2 B 0.000 0.000 0.171
3 B 0.000 0.500 0.409
4 B 0.500 0.000 0.909
5 B 0.500 0.500 0.500
6 B 0.500 0.500 0.671
7 W 0.000 0.000 0.588
8 W 0.000 0.500 0.832
9 W 0.500 0.000 0.332
10 W 0.500 0.500 0.088

The 10 most intense peaks (10 to 90 degrees two-theta), by angle:
h k l, two_theta, intensity
0 1 1, 30.02, 588
1 0 1, 30.57, 635
0 0 4, 34.42, 465
0 1 3, 38.89, 412
1 0 3, 39.33, 294
1 1 2, 45.17, 1000
0 1 5, 52.89, 130
1 0 5, 53.24, 193
1 2 1, 68.39, 133
1 1 6, 69.24, 353

=====

(5)
Theoretical X-ray diffraction stick pattern
Compound: YB2
Radiation: Cu Kα (λ = 1.5418 Å)
Structure: a cell relaxed with GGA-PBE

Atomic structure:
a = 3.296 Å, b = 3.296 Å, c = 3.872 Å
α = 90.00°, β = 90.00°, γ = 120.00°
Atoms (fractional coordinates):
1 Y 0.000 0.000 0.000
2 B 0.333 0.667 0.500
3 B 0.667 0.333 0.500

The 10 most intense peaks (10 to 90 degrees two-theta), by angle:
h k l, two_theta, intensity
0 0 1, 22.97, 371
1 0 0, 31.34, 653
1 0 1, 39.21, 1000
0 0 2, 46.93, 112
1 1 0, 55.79, 195
1 0 2, 57.52, 230
1 1 1, 61.12, 162
2 0 1, 70.30, 166
1 1 2, 75.80, 152
1 0 3, 81.91, 109

=====

(6)
Theoretical X-ray diffraction stick pattern
Compound: YB4
Radiation: Cu Kα (λ = 1.5418 Å)
Structure: a cell relaxed with GGA-PBE

Atomic structure:
a = 7.114 Å, b = 7.114 Å, c = 4.025 Å
α = 90.00°, β = 90.00°, γ = 90.00°
Atoms (fractional coordinates):
1 Y 0.182 0.318 0.000
2 Y 0.318 0.818 0.000
3 Y 0.682 0.182 0.000
4 Y 0.818 0.682 0.000
5 B 0.000 0.000 0.203
6 B 0.000 0.000 0.797
7 B 0.039 0.824 0.500
8 B 0.087 0.587 0.500
9 B 0.176 0.039 0.500
10 B 0.324 0.539 0.500
11 B 0.413 0.087 0.500
12 B 0.461 0.324 0.500
13 B 0.500 0.500 0.203
14 B 0.500 0.500 0.797
15 B 0.539 0.676 0.500
16 B 0.587 0.913 0.500
17 B 0.676 0.461 0.500
18 B 0.824 0.961 0.500
19 B 0.913 0.413 0.500
20 B 0.961 0.176 0.500

The 10 most intense peaks (10 to 90 degrees two-theta), by angle:
h k l, two_theta, intensity
0 0 1, 22.08, 409
2 0 0, 25.03, 266
2 1 0, 28.05, 679
2 0 1, 33.62, 518
2 1 1, 35.98, 1000
3 1 1, 46.23, 188
4 1 0, 53.08, 285
2 1 2, 53.90, 219
4 1 1, 58.17, 270
4 1 2, 72.10, 220